This entry pairs a crystal structure of PmHoScSe3 with its computed PXRD pattern. Radiation: Cu Ka. Structure: the PBE geometry in Alexandria.

Largest 10 diffraction maxima, low angle first, 2θ = 10–90°:
Position (°2θ)  I_rel  h k l
29.89  51  0 0 3
31.18  71  2 1 -1
31.31  100  2 1 0
34.44  20  1 0 3
36.86  37  1 1 -3
39.70  30  2 1 -3
40.25  30  2 1 2
43.51  30  4 0 -1
44.82  33  0 2 0
54.80  18  0 2 3

Structural model:
a = 8.3213 Å, b = 4.0447 Å, c = 9.2478 Å
α = 90.00°, β = 104.11°, γ = 90.00°
Element x y z (fractional)
Pm 0.1776 0.2500 0.2207
Pm 0.8224 0.7500 0.7793
Ho 0.3415 0.7500 0.8532
Ho 0.6585 0.2500 0.1468
Sc 0.1014 0.2500 0.5973
Sc 0.8986 0.7500 0.4027
Se 0.1008 0.2500 0.8845
Se 0.2450 0.7500 0.4884
Se 0.4289 0.7500 0.1744
Se 0.5711 0.2500 0.8256
Se 0.7550 0.2500 0.5116
Se 0.8992 0.7500 0.1155